Record 1
The following is a theoretical powder X-ray diffraction pattern of Co3GeH. It was derived from a cell relaxed with GGA-PBE, using Cu Kα.
No peak broadening, texture or thermal motion is included.

Structure:
```
Co3GeH
1.0
3.542 -3.706 0.000
3.542 3.706 0.000
0.000 0.000 3.562
Co Ge H
6 2 2
Cartesian
0.000 0.000 0.000
3.555 1.873 1.782
1.769 0.000 1.782
3.600 0.000 3.562
3.555 -1.873 1.782
5.375 0.000 1.780
1.778 1.698 0.001
1.778 -1.698 0.001
3.588 0.000 1.781
5.374 0.000 3.557
```

Principal peaks in the range 2θ from 15° to 90°, low angle first:
d = 2.333 Å, 38.59 deg, rel. 1
d = 2.079 Å, 43.53 deg, rel. 100
d = 1.952 Å, 46.53 deg, rel. 1
d = 1.853 Å, 49.16 deg, rel. 16
d = 1.781 Å, 51.29 deg, rel. 16
d = 1.771 Å, 51.62 deg, rel. 15
d = 1.344 Å, 70.01 deg, rel. 1
d = 1.284 Å, 73.78 deg, rel. 9
d = 1.280 Å, 74.05 deg, rel. 9
d = 1.256 Å, 75.74 deg, rel. 9
d = 1.184 Å, 81.24 deg, rel. 1
d = 1.109 Å, 88.12 deg, rel. 10

---

Record 2
The following is a theoretical powder X-ray diffraction pattern of NaSnS3. It was derived from a cell relaxed with GGA-PBE, using Cu Kα.
No peak broadening, texture or thermal motion is included.

Structure:
```
NaSnS3
1.0
5.860 -6.622 0.000
5.860 6.622 0.000
-0.178 0.000 6.452
Na Sn S
4 4 12
Cartesian
2.081 1.191 0.537
1.992 -1.191 3.763
9.549 1.191 2.689
9.460 -1.191 5.916
5.815 2.793 1.613
5.726 0.999 4.839
5.815 -0.999 1.613
5.726 -2.793 4.839
4.866 5.171 2.125
4.240 2.667 5.997
6.764 5.171 1.101
4.292 0.924 2.670
7.212 2.667 3.681
4.203 -0.924 5.896
7.339 0.924 0.556
4.329 -2.667 2.771
7.250 -0.924 3.782
4.777 -5.171 5.352
7.301 -2.667 0.455
6.675 -5.171 4.327
```

Principal peaks in the range 2θ from 15° to 90°, low angle first:
d = 5.857 Å, 15.13 deg, rel. 100
d = 5.250 Å, 16.89 deg, rel. 35
d = 3.494 Å, 25.49 deg, rel. 31
d = 2.793 Å, 32.04 deg, rel. 59
d = 2.685 Å, 33.37 deg, rel. 50
d = 2.645 Å, 33.89 deg, rel. 69
d = 2.064 Å, 43.87 deg, rel. 22
d = 1.985 Å, 45.71 deg, rel. 16
d = 1.957 Å, 46.40 deg, rel. 20
d = 1.901 Å, 47.86 deg, rel. 21
d = 1.868 Å, 48.76 deg, rel. 16
d = 1.804 Å, 50.61 deg, rel. 21

---

Record 3
The following is a theoretical powder X-ray diffraction pattern of K2OsO6. It was derived from a cell relaxed with GGA-PBE, using Cu Kα.
No peak broadening, texture or thermal motion is included.

Structure:
```
K2OsO6
1.0
-3.055 3.055 4.608
3.055 -3.055 4.608
3.055 3.055 -4.608
K Os O
2 1 6
Cartesian
3.055 0.000 2.304
0.000 3.055 2.304
0.000 0.000 0.000
4.437 0.809 0.000
0.000 0.000 1.855
0.809 1.673 0.000
2.246 1.382 4.608
0.000 0.000 7.360
-1.382 2.246 4.608
```

Principal peaks in the range 2θ from 15° to 90°, low angle first:
d = 5.093 Å, 17.41 deg, rel. 100
d = 4.608 Å, 19.26 deg, rel. 9
d = 4.321 Å, 20.56 deg, rel. 12
d = 3.152 Å, 28.32 deg, rel. 36
d = 3.055 Å, 29.23 deg, rel. 22
d = 2.745 Å, 32.63 deg, rel. 14
d = 2.620 Å, 34.23 deg, rel. 26
d = 2.160 Å, 41.81 deg, rel. 11
d = 2.042 Å, 44.37 deg, rel. 9
d = 1.782 Å, 51.27 deg, rel. 17
d = 1.667 Å, 55.10 deg, rel. 10
d = 1.528 Å, 60.61 deg, rel. 9

---

Record 4
The following is a theoretical powder X-ray diffraction pattern of CeDy2Cu9. It was derived from a cell relaxed with GGA-PBE, using Cu Kα.
No peak broadening, texture or thermal motion is included.

Structure:
```
CeDy2Cu9
1.0
5.226 0.000 0.000
-2.613 4.526 0.000
0.000 0.000 16.454
Ce Dy Cu
2 4 18
Cartesian
0.000 3.017 4.113
2.613 1.509 12.340
0.000 3.017 0.581
0.000 3.017 7.646
2.613 1.509 8.807
2.613 1.509 15.873
0.000 0.000 0.000
0.000 0.000 4.113
0.000 0.000 8.227
0.000 0.000 12.340
0.000 1.511 10.300
0.000 1.511 14.380
-1.305 3.771 10.300
-1.305 3.771 14.380
0.000 3.017 12.340
1.308 0.755 2.073
1.308 0.755 6.154
1.305 3.771 10.300
1.305 3.771 14.380
2.613 1.509 4.113
3.918 0.755 2.073
3.918 0.755 6.154
2.613 3.016 2.073
2.613 3.016 6.154
```

Principal peaks in the range 2θ from 15° to 90°, low angle first:
d = 2.662 Å, 33.67 deg, rel. 57
d = 2.613 Å, 34.32 deg, rel. 48
d = 2.263 Å, 39.83 deg, rel. 13
d = 2.242 Å, 40.22 deg, rel. 32
d = 2.206 Å, 40.91 deg, rel. 100
d = 2.092 Å, 43.25 deg, rel. 23
d = 2.086 Å, 43.38 deg, rel. 16
d = 2.057 Å, 44.03 deg, rel. 14
d = 1.518 Å, 61.05 deg, rel. 20
d = 1.422 Å, 65.65 deg, rel. 17
d = 1.416 Å, 65.95 deg, rel. 23
d = 1.307 Å, 72.32 deg, rel. 21

---

Record 5
The following is a theoretical powder X-ray diffraction pattern of NaInAsO4. It was derived from a cell relaxed with GGA-PBE, using Cu Kα.
No peak broadening, texture or thermal motion is included.

Structure:
```
NaInAsO4
1.0
-3.186 3.253 4.436
3.186 -3.253 4.436
3.186 3.253 -4.436
Na In As O
2 2 2 8
Cartesian
-1.593 1.626 2.218
1.593 1.626 2.218
0.000 0.000 0.000
0.000 3.253 0.000
3.186 1.626 -1.142
0.000 1.626 5.578
3.186 -0.177 2.154
3.186 3.076 -2.154
1.515 1.626 -0.096
1.671 -1.626 4.340
1.515 4.879 0.096
1.671 1.626 4.532
0.000 0.177 6.590
0.000 3.430 2.282
```

Principal peaks in the range 2θ from 15° to 90°, low angle first:
d = 5.246 Å, 16.90 deg, rel. 15
d = 5.176 Å, 17.13 deg, rel. 36
d = 4.436 Å, 20.02 deg, rel. 24
d = 3.182 Å, 28.04 deg, rel. 71
d = 2.754 Å, 32.51 deg, rel. 100
d = 2.723 Å, 32.89 deg, rel. 25
d = 2.683 Å, 33.40 deg, rel. 56
d = 2.276 Å, 39.59 deg, rel. 17
d = 2.025 Å, 44.75 deg, rel. 14
d = 1.833 Å, 49.76 deg, rel. 15
d = 1.744 Å, 52.47 deg, rel. 28
d = 1.589 Å, 58.06 deg, rel. 48

---

Record 6
The following is a theoretical powder X-ray diffraction pattern of Nb2W5. It was derived from a cell relaxed with GGA-PBE, using Cu Kα.
No peak broadening, texture or thermal motion is included.

Structure:
```
Nb2W5
1.0
7.875 0.000 0.000
0.000 4.545 0.000
-2.639 0.000 6.506
Nb W
4 10
Cartesian
1.311 0.000 0.934
-0.012 2.272 5.572
5.249 2.272 0.934
3.925 0.000 5.572
0.000 2.272 0.000
-1.323 0.000 4.606
-0.005 2.272 2.768
1.304 0.000 3.738
2.622 2.272 1.901
3.938 0.000 0.000
2.615 2.272 4.606
3.933 0.000 2.768
5.241 2.272 3.738
6.559 0.000 1.901
```

Principal peaks in the range 2θ from 15° to 90°, low angle first:
d = 3.651 Å, 24.38 deg, rel. 4
d = 3.064 Å, 29.14 deg, rel. 1
d = 2.772 Å, 32.29 deg, rel. 1
d = 2.274 Å, 39.63 deg, rel. 100
d = 2.146 Å, 42.11 deg, rel. 1
d = 1.930 Å, 47.10 deg, rel. 1
d = 1.608 Å, 57.29 deg, rel. 17
d = 1.570 Å, 58.83 deg, rel. 1
d = 1.314 Å, 71.84 deg, rel. 14
d = 1.312 Å, 71.96 deg, rel. 20
d = 1.139 Å, 85.20 deg, rel. 2
d = 1.137 Å, 85.41 deg, rel. 9

---

Record 7
The following is a theoretical powder X-ray diffraction pattern of Cs3Ga2Pb5. It was derived from a cell relaxed with GGA-PBE, using Cu Kα.
No peak broadening, texture or thermal motion is included.

Structure:
```
Cs3Ga2Pb5
1.0
-6.117 8.287 3.894
6.117 -8.287 3.894
6.117 8.287 -3.894
Cs Ga Pb
6 4 10
Cartesian
9.130 2.186 0.000
0.000 0.000 1.947
3.013 6.101 0.000
3.103 2.186 3.894
0.000 0.000 5.841
-3.013 6.101 3.894
1.455 2.705 0.000
7.571 5.582 0.000
-1.455 2.705 3.894
4.662 5.582 3.894
6.117 -3.992 1.947
4.314 1.983 0.000
6.117 0.000 1.947
4.314 -1.983 3.894
6.117 3.992 1.947
0.000 4.295 1.947
1.802 10.270 0.000
0.000 8.287 1.947
1.802 6.304 3.894
0.000 12.279 1.947
```

Principal peaks in the range 2θ from 15° to 90°, low angle first:
d = 3.431 Å, 25.97 deg, rel. 89
d = 3.312 Å, 26.92 deg, rel. 35
d = 3.285 Å, 27.15 deg, rel. 84
d = 2.838 Å, 31.53 deg, rel. 100
d = 2.573 Å, 34.87 deg, rel. 20
d = 2.461 Å, 36.52 deg, rel. 26
d = 2.405 Å, 37.39 deg, rel. 28
d = 2.247 Å, 40.13 deg, rel. 26
d = 1.947 Å, 46.65 deg, rel. 19
d = 1.752 Å, 52.20 deg, rel. 25
d = 1.693 Å, 54.16 deg, rel. 24
d = 1.528 Å, 60.61 deg, rel. 18

---

Record 8
The following is a theoretical powder X-ray diffraction pattern of Mn4HgP. It was derived from a cell relaxed with GGA-PBE, using Cu Kα.
No peak broadening, texture or thermal motion is included.

Structure:
```
Mn4HgP
1.0
0.000 3.454 3.454
3.454 0.000 3.454
3.454 3.454 0.000
Mn Hg P
4 1 1
Cartesian
0.860 0.860 0.860
2.594 2.594 0.860
2.594 0.860 2.594
0.860 2.594 2.594
3.454 3.454 3.454
5.180 5.180 5.180
```

Principal peaks in the range 2θ from 15° to 90°, low angle first:
d = 3.988 Å, 22.29 deg, rel. 33
d = 3.454 Å, 25.80 deg, rel. 32
d = 2.442 Å, 36.80 deg, rel. 48
d = 2.083 Å, 43.45 deg, rel. 100
d = 1.994 Å, 45.49 deg, rel. 25
d = 1.585 Å, 58.22 deg, rel. 9
d = 1.544 Å, 59.89 deg, rel. 13
d = 1.410 Å, 66.29 deg, rel. 17
d = 1.329 Å, 70.90 deg, rel. 30
d = 1.221 Å, 78.30 deg, rel. 19
d = 1.168 Å, 82.65 deg, rel. 7
d = 1.092 Å, 89.81 deg, rel. 8

---

Record 9
The following is a theoretical powder X-ray diffraction pattern of Ca2SnPPt6. It was derived from a cell relaxed with GGA-PBE, using Cu Kα.
No peak broadening, texture or thermal motion is included.

Structure:
```
Ca2SnPPt6
1.0
5.631 0.000 0.000
0.000 8.695 0.000
0.000 0.000 8.373
Ca Sn P Pt
4 2 2 12
Cartesian
1.408 0.099 1.912
1.408 4.248 1.912
4.223 4.447 6.461
4.223 8.595 6.461
1.408 6.521 6.611
4.223 2.174 1.762
1.408 2.174 6.114
4.223 6.521 2.259
0.007 6.521 0.452
0.014 6.521 4.256
1.408 0.041 5.096
1.408 4.306 5.096
2.801 6.521 4.256
2.808 6.521 0.452
2.823 2.174 7.921
2.830 2.174 4.117
4.223 4.388 3.277
4.223 8.654 3.277
5.617 2.174 4.117
5.624 2.174 7.921
```

Principal peaks in the range 2θ from 15° to 90°, low angle first:
d = 4.673 Å, 18.99 deg, rel. 45
d = 4.347 Å, 20.43 deg, rel. 42
d = 4.187 Å, 21.22 deg, rel. 53
d = 3.016 Å, 29.62 deg, rel. 50
d = 2.658 Å, 33.72 deg, rel. 61
d = 2.363 Å, 38.08 deg, rel. 100
d = 2.336 Å, 38.53 deg, rel. 56
d = 2.174 Å, 41.54 deg, rel. 64
d = 2.168 Å, 41.67 deg, rel. 38
d = 2.058 Å, 44.00 deg, rel. 77
d = 1.886 Å, 48.25 deg, rel. 31
d = 1.592 Å, 57.93 deg, rel. 44

---

Record 10
The following is a theoretical powder X-ray diffraction pattern of Ho3AlTl4Se8. It was derived from a cell relaxed with GGA-PBE, using Cu Kα.
No peak broadening, texture or thermal motion is included.

Structure:
```
Ho3AlTl4Se8
1.0
4.094 2.364 7.780
-4.094 2.364 7.780
0.000 -4.728 7.780
Ho Al Tl Se
3 1 4 8
Cartesian
-2.047 -1.182 7.780
-2.047 1.182 15.560
0.000 2.364 7.780
0.000 0.000 0.000
-4.094 0.000 11.670
-2.047 1.182 3.890
2.047 1.182 3.890
0.000 0.000 11.670
0.000 -2.517 9.290
-2.179 1.258 9.290
-2.179 -1.258 14.050
0.000 0.000 6.183
0.000 0.000 17.156
2.179 1.258 9.290
2.179 -1.258 14.050
0.000 2.517 14.050
```

Principal peaks in the range 2θ from 15° to 90°, low angle first:
d = 3.891 Å, 22.86 deg, rel. 13
d = 3.393 Å, 26.27 deg, rel. 18
d = 3.030 Å, 29.48 deg, rel. 100
d = 2.823 Å, 31.69 deg, rel. 10
d = 2.253 Å, 40.02 deg, rel. 36
d = 2.047 Å, 44.25 deg, rel. 35
d = 1.812 Å, 50.37 deg, rel. 10
d = 1.696 Å, 54.06 deg, rel. 18
d = 1.515 Å, 61.17 deg, rel. 10
d = 1.410 Å, 66.27 deg, rel. 15
d = 1.306 Å, 72.35 deg, rel. 15
d = 1.218 Å, 78.55 deg, rel. 10

---

Record 11
The following is a theoretical powder X-ray diffraction pattern of LaNdBN2. It was derived from a cell relaxed with GGA-PBE, using Cu Kα.
No peak broadening, texture or thermal motion is included.

Structure:
```
LaNdBN2
1.0
5.931 0.000 0.000
0.000 4.146 0.000
-2.093 0.000 7.400
La Nd B N
2 2 2 4
Cartesian
-0.523 0.003 1.850
-1.570 4.142 5.550
1.395 2.071 5.550
2.442 2.075 1.850
2.965 0.000 0.000
1.919 0.000 3.700
1.659 0.002 0.464
0.612 4.143 4.163
3.225 0.002 3.236
2.179 4.143 6.936
```

Principal peaks in the range 2θ from 15° to 90°, low angle first:
d = 3.700 Å, 24.05 deg, rel. 58
d = 3.354 Å, 26.58 deg, rel. 100
d = 2.853 Å, 31.35 deg, rel. 34
d = 2.710 Å, 33.05 deg, rel. 63
d = 2.632 Å, 34.06 deg, rel. 34
d = 2.308 Å, 39.03 deg, rel. 51
d = 2.073 Å, 43.67 deg, rel. 19
d = 1.808 Å, 50.47 deg, rel. 17
d = 1.741 Å, 52.56 deg, rel. 37
d = 1.729 Å, 52.96 deg, rel. 19
d = 1.677 Å, 54.74 deg, rel. 14
d = 1.629 Å, 56.51 deg, rel. 16

---

Record 12
The following is a theoretical powder X-ray diffraction pattern of Dy2Er6Tm3Pu. It was derived from a cell relaxed with GGA-PBE, using Cu Kα.
No peak broadening, texture or thermal motion is included.

Structure:
```
Dy2Er6Tm3Pu
1.0
3.030 -5.249 0.000
3.030 5.249 0.000
-2.023 0.000 11.377
Dy Er Tm Pu
2 6 3 1
Cartesian
3.030 3.500 0.000
3.030 -3.500 0.000
0.009 1.730 8.538
1.030 0.000 2.840
0.009 -1.730 8.538
4.027 1.730 2.839
3.006 0.000 8.536
4.027 -1.730 2.839
-1.012 0.000 5.688
2.018 1.755 5.688
2.018 -1.755 5.688
3.030 0.000 0.000
```

Principal peaks in the range 2θ from 15° to 90°, low angle first:
d = 2.855 Å, 31.33 deg, rel. 100
d = 2.844 Å, 31.45 deg, rel. 33
d = 2.470 Å, 36.37 deg, rel. 67
d = 1.749 Å, 52.30 deg, rel. 24
d = 1.744 Å, 52.46 deg, rel. 24
d = 1.491 Å, 62.29 deg, rel. 43
d = 1.487 Å, 62.46 deg, rel. 14
d = 1.428 Å, 65.37 deg, rel. 12
d = 1.235 Å, 77.24 deg, rel. 8
d = 1.135 Å, 85.56 deg, rel. 12
d = 1.106 Å, 88.37 deg, rel. 11
d = 1.103 Å, 88.64 deg, rel. 11